Starting from the GGA-PBE geometry in Alexandria, the X-ray diffraction stick pattern of LiHoW2 was calculated for Cu Ka.

Structural model:
Cell: 2.760 2.760 9.659 Å, 90.00 90.00 100.96°
Fractional coordinates of all 4 atoms:
Li (0.000, 0.000, 0.000)
Ho (0.000, 0.000, 0.500)
W (0.500, 0.500, 0.238)
W (0.500, 0.500, 0.762)

Peak list (8 most intense, 15° ≤ 2θ ≤ 90°, in order of falling intensity)
d 2.363, rel. 100; d 2.415, rel. 25; d 4.830, rel. 20; d 2.129, rel. 19; d 1.384, rel. 17; d 2.609, rel. 16; d 1.597, rel. 14; d 1.270, rel. 14


Starting from the GGA-PBE geometry in Alexandria, the X-ray diffraction stick pattern of Li4HoZn2 was calculated for Cu Ka.

Structural model:
Cell: 9.366 9.366 3.256 Å, 90.00 90.00 151.75°
Fractional coordinates of all 7 atoms:
Li (0.162, 0.838, 0.000)
Li (0.308, 0.692, 0.500)
Li (0.692, 0.308, 0.500)
Li (0.838, 0.162, 0.000)
Ho (0.000, 0.000, 0.500)
Zn (0.427, 0.573, 0.000)
Zn (0.573, 0.427, 0.000)

Peak list (8 most intense, 15° ≤ 2θ ≤ 90°, in order of falling intensity)
d 2.624, rel. 100; d 2.217, rel. 55; d 2.844, rel. 49; d 2.429, rel. 44; d 2.257, rel. 41; d 2.646, rel. 28; d 3.648, rel. 26; d 1.591, rel. 23


Starting from the GGA-PBE geometry in Alexandria, the X-ray diffraction stick pattern of LiHoZn was calculated for Cu Ka.

Structural model:
Cell: 5.545 5.545 5.401 Å, 118.88 118.88 62.31°
Fractional coordinates of all 6 atoms:
Li (0.000, 0.000, 0.000)
Li (0.000, 0.000, 0.500)
Ho (0.378, 0.378, 0.629)
Ho (0.622, 0.622, 0.371)
Zn (0.000, 0.500, 0.000)
Zn (0.500, 0.000, 0.000)

Peak list (8 most intense, 15° ≤ 2θ ≤ 90°, in order of falling intensity)
d 2.411, rel. 100; d 4.629, rel. 98; d 2.781, rel. 58; d 2.770, rel. 57; d 2.700, rel. 53; d 2.356, rel. 26; d 2.346, rel. 25; d 1.638, rel. 24


Starting from the GGA-PBE geometry in Alexandria, the X-ray diffraction stick pattern of Li3Ho2Zn4 was calculated for Cu Ka.

Structural model:
Cell: 8.100 8.100 7.991 Å, 90.00 90.00 139.96°
Fractional coordinates of all 18 atoms:
Li (0.000, 0.000, 0.000)
Li (0.030, 0.470, 0.250)
Li (0.470, 0.030, 0.750)
Li (0.500, 0.500, 0.500)
Li (0.530, 0.970, 0.250)
Li (0.970, 0.530, 0.750)
Ho (0.112, 0.888, 0.412)
Ho (0.388, 0.612, 0.912)
Ho (0.612, 0.388, 0.088)
Ho (0.888, 0.112, 0.588)
Zn (0.181, 0.819, 0.028)
Zn (0.196, 0.304, 0.250)
Zn (0.304, 0.196, 0.750)
Zn (0.319, 0.681, 0.528)
Zn (0.681, 0.319, 0.472)
Zn (0.696, 0.804, 0.250)
Zn (0.804, 0.696, 0.750)
Zn (0.819, 0.181, 0.972)

Peak list (8 most intense, 15° ≤ 2θ ≤ 90°, in order of falling intensity)
d 2.531, rel. 100; d 2.514, rel. 73; d 4.365, rel. 59; d 2.732, rel. 58; d 2.477, rel. 50; d 2.278, rel. 49; d 3.805, rel. 40; d 2.241, rel. 32


Starting from the GGA-PBE geometry in Alexandria, the X-ray diffraction stick pattern of HoLu6 was calculated for Cu Ka.

Structural model:
Cell: 7.005 7.005 7.005 Å, 109.47 109.47 109.47°
Fractional coordinates of all 7 atoms:
Ho (0.000, 0.000, 0.000)
Lu (0.250, 0.500, 0.750)
Lu (0.250, 0.750, 0.500)
Lu (0.500, 0.250, 0.750)
Lu (0.500, 0.750, 0.250)
Lu (0.750, 0.250, 0.500)
Lu (0.750, 0.500, 0.250)

Peak list (8 most intense, 15° ≤ 2θ ≤ 90°, in order of falling intensity)
d 3.302, rel. 100; d 2.162, rel. 63; d 4.044, rel. 41; d 2.335, rel. 39; d 2.022, rel. 36; d 5.719, rel. 24; d 1.430, rel. 24; d 1.312, rel. 19


Starting from the GGA-PBE geometry in Alexandria, the X-ray diffraction stick pattern of HoLuMgSc was calculated for Cu Ka.

Structural model:
Cell: 5.331 5.331 5.331 Å, 60.00 60.00 60.00°
Fractional coordinates of all 4 atoms:
Ho (0.000, 0.000, 0.000)
Lu (0.500, 0.500, 0.500)
Mg (0.750, 0.750, 0.750)
Sc (0.250, 0.250, 0.250)

Peak list (8 most intense, 15° ≤ 2θ ≤ 90°, in order of falling intensity)
d 2.666, rel. 100; d 3.770, rel. 51; d 1.539, rel. 37; d 1.686, rel. 22; d 1.885, rel. 18; d 2.176, rel. 16; d 1.192, rel. 16; d 1.333, rel. 11


Starting from the GGA-PBE geometry in Alexandria, the X-ray diffraction stick pattern of HoLuO2 was calculated for Cu Ka.

Structural model:
Cell: 6.744 6.744 6.744 Å, 30.17 30.17 30.17°
Fractional coordinates of all 4 atoms:
Ho (0.000, 0.000, 0.000)
Lu (0.500, 0.500, 0.500)
O (0.114, 0.114, 0.114)
O (0.886, 0.886, 0.886)

Peak list (8 most intense, 15° ≤ 2θ ≤ 90°, in order of falling intensity)
d 2.899, rel. 100; d 2.572, rel. 57; d 3.216, rel. 39; d 1.889, rel. 33; d 1.540, rel. 28; d 1.755, rel. 27; d 1.629, rel. 20; d 1.501, rel. 14


Starting from the GGA-PBE geometry in Alexandria, the X-ray diffraction stick pattern of Ho2LuTa was calculated for Cu Ka.

Structural model:
Cell: 11.672 11.672 11.672 Å, 15.98 15.98 15.98°
Fractional coordinates of all 4 atoms:
Ho (0.085, 0.085, 0.085)
Ho (0.915, 0.915, 0.915)
Lu (0.500, 0.500, 0.500)
Ta (0.000, 0.000, 0.000)

Peak list (8 most intense, 15° ≤ 2θ ≤ 90°, in order of falling intensity)
d 2.774, rel. 100; d 2.880, rel. 65; d 2.180, rel. 57; d 1.414, rel. 45; d 1.622, rel. 36; d 2.801, rel. 32; d 1.855, rel. 27; d 2.603, rel. 26


Starting from the GGA-PBE geometry in Alexandria, the X-ray diffraction stick pattern of Ho5Mg2 was calculated for Cu Ka.

Structural model:
Cell: 16.899 16.899 16.899 Å, 168.19 168.19 16.74°
Fractional coordinates of all 7 atoms:
Ho (0.000, 0.000, 0.000)
Ho (0.151, 0.151, 0.000)
Ho (0.424, 0.424, 0.000)
Ho (0.576, 0.576, 0.000)
Ho (0.849, 0.849, 0.000)
Mg (0.279, 0.279, 0.000)
Mg (0.721, 0.721, 0.000)

Peak list (8 most intense, 15° ≤ 2θ ≤ 90°, in order of falling intensity)
d 2.812, rel. 100; d 2.459, rel. 37; d 1.479, rel. 29; d 3.086, rel. 24; d 1.713, rel. 19; d 2.388, rel. 13; d 1.739, rel. 13; d 1.844, rel. 11


Starting from the GGA-PBE geometry in Alexandria, the X-ray diffraction stick pattern of Ho5Mg3 was calculated for Cu Ka.

Structural model:
Cell: 3.699 3.699 16.391 Å, 90.00 90.00 90.00°
Fractional coordinates of all 8 atoms:
Ho (0.000, 0.000, 0.000)
Ho (0.000, 0.000, 0.238)
Ho (0.000, 0.000, 0.762)
Ho (0.500, 0.500, 0.381)
Ho (0.500, 0.500, 0.619)
Mg (0.000, 0.000, 0.500)
Mg (0.500, 0.500, 0.118)
Mg (0.500, 0.500, 0.882)

Peak list (8 most intense, 15° ≤ 2θ ≤ 90°, in order of falling intensity)
d 2.746, rel. 100; d 2.616, rel. 46; d 3.608, rel. 35; d 1.534, rel. 34; d 1.612, rel. 24; d 2.046, rel. 23; d 1.850, rel. 16; d 3.278, rel. 12


Starting from the GGA-PBE geometry in Alexandria, the X-ray diffraction stick pattern of Ho4Mg3 was calculated for Cu Ka.

Structural model:
Cell: 8.130 8.130 8.130 Å, 109.47 109.47 109.47°
Fractional coordinates of all 14 atoms:
Ho (0.000, 0.155, 0.500)
Ho (0.000, 0.655, 0.500)
Ho (0.155, 0.500, 0.000)
Ho (0.345, 0.345, 0.345)
Ho (0.500, 0.000, 0.155)
Ho (0.500, 0.000, 0.655)
Ho (0.655, 0.500, 0.000)
Ho (0.845, 0.845, 0.845)
Mg (0.125, 0.875, 0.250)
Mg (0.250, 0.125, 0.875)
Mg (0.375, 0.625, 0.750)
Mg (0.625, 0.750, 0.375)
Mg (0.750, 0.375, 0.625)
Mg (0.875, 0.250, 0.125)

Peak list (8 most intense, 15° ≤ 2θ ≤ 90°, in order of falling intensity)
d 2.969, rel. 100; d 2.509, rel. 93; d 3.832, rel. 86; d 1.841, rel. 53; d 1.916, rel. 44; d 1.523, rel. 29; d 1.449, rel. 20; d 3.319, rel. 18


Starting from the GGA-PBE geometry in Alexandria, the X-ray diffraction stick pattern of HoMg5 was calculated for Cu Ka.

Structural model:
Cell: 5.096 5.096 6.559 Å, 90.00 90.00 120.00°
Fractional coordinates of all 6 atoms:
Ho (0.000, 0.000, 0.000)
Mg (0.000, 0.000, 0.500)
Mg (0.333, 0.667, 0.251)
Mg (0.333, 0.667, 0.750)
Mg (0.667, 0.333, 0.250)
Mg (0.667, 0.333, 0.749)

Peak list (8 most intense, 15° ≤ 2θ ≤ 90°, in order of falling intensity)
d 2.632, rel. 100; d 3.662, rel. 76; d 2.548, rel. 67; d 4.413, rel. 60; d 1.487, rel. 34; d 1.831, rel. 34; d 2.375, rel. 24; d 1.379, rel. 19


Starting from the GGA-PBE geometry in Alexandria, the X-ray diffraction stick pattern of Ho3Mg5 was calculated for Cu Ka.

Structural model:
Cell: 6.501 6.501 5.181 Å, 90.00 90.00 107.92°
Fractional coordinates of all 8 atoms:
Ho (0.000, 0.000, 0.000)
Ho (0.256, 0.744, 0.500)
Ho (0.744, 0.256, 0.500)
Mg (0.000, 0.500, 0.000)
Mg (0.254, 0.254, 0.500)
Mg (0.500, 0.000, 0.000)
Mg (0.500, 0.500, 0.000)
Mg (0.746, 0.746, 0.500)

Peak list (8 most intense, 15° ≤ 2θ ≤ 90°, in order of falling intensity)
d 2.656, rel. 100; d 3.690, rel. 52; d 3.825, rel. 28; d 2.629, rel. 24; d 2.590, rel. 23; d 1.523, rel. 18; d 1.508, rel. 18; d 3.972, rel. 17


Starting from the GGA-PBE geometry in Alexandria, the X-ray diffraction stick pattern of HoMg4 was calculated for Cu Ka.

Structural model:
Cell: 8.739 8.739 8.739 Å, 109.47 109.47 109.47°
Fractional coordinates of all 20 atoms:
Ho (0.000, 0.000, 0.576)
Ho (0.000, 0.576, 0.000)
Ho (0.424, 0.424, 0.424)
Ho (0.576, 0.000, 0.000)
Mg (0.000, 0.000, 0.212)
Mg (0.000, 0.212, 0.000)
Mg (0.000, 0.349, 0.349)
Mg (0.000, 0.651, 0.651)
Mg (0.212, 0.000, 0.000)
Mg (0.250, 0.500, 0.750)
Mg (0.250, 0.750, 0.500)
Mg (0.349, 0.000, 0.349)
Mg (0.349, 0.349, 0.000)
Mg (0.500, 0.250, 0.750)
Mg (0.500, 0.750, 0.250)
Mg (0.651, 0.000, 0.651)
Mg (0.651, 0.651, 0.000)
Mg (0.750, 0.250, 0.500)
Mg (0.750, 0.500, 0.250)
Mg (0.788, 0.788, 0.788)

Peak list (8 most intense, 15° ≤ 2θ ≤ 90°, in order of falling intensity)
d 2.379, rel. 100; d 3.568, rel. 89; d 5.046, rel. 72; d 2.697, rel. 70; d 1.637, rel. 67; d 4.120, rel. 67; d 2.913, rel. 66; d 1.979, rel. 43